Simulated X-ray diffraction stick pattern of Dy3Mn3Ga2Si for Cu Ka, from DFT lattice parameters and positions (GGA-PBE).

Most intense lines, 10° ≤ 2θ ≤ 90°, by angle:
hkl 2 0 0, 29.58 deg, d 3.019, I 31
hkl 1 1 1, 33.58 deg, d 2.669, I 90
hkl 2 0 1, 36.82 deg, d 2.441, I 100
hkl 2 1 0, 39.48 deg, d 2.283, I 39
hkl 0 0 2, 43.63 deg, d 2.074, I 26
hkl 1 3 1, 59.52 deg, d 1.553, I 34

Crystal structure
Cell: 6.9732 6.9732 4.1487 Å, 90.00 90.00 120.00°
Fractional coordinates of all 9 atoms:
Dy (0.0038, 0.4219, 0.0000)
Dy (0.4181, 0.9962, 0.0000)
Dy (0.5781, 0.5819, 0.0000)
Mn (0.0116, 0.7703, 0.5000)
Mn (0.2297, 0.2414, 0.5000)
Mn (0.7586, 0.9884, 0.5000)
Ga (0.0000, 0.0000, 0.0000)
Ga (0.6667, 0.3333, 0.5000)
Si (0.3333, 0.6667, 0.5000)